This entry pairs a crystal structure of Cd2GaAgSe4 with its simulated powder diffraction line list. Radiation: Cu Kα, 1.54184 Å. Structure: a DFT-relaxed cell (GGA-PBE, the Materials Project).
Peak positions follow from Bragg's law for the DFT cell and can differ from measured ones.

Crystal structure
a = 7.054 Å, b = 4.284 Å, c = 7.520 Å
α = 90.00°, β = 90.35°, γ = 90.00°
Space group Pm (No. 6)
Unique sites:
Cd 0.000 0.000 0.000
Cd 0.469 0.000 0.350
Ga 0.477 0.500 0.827
Ag 0.992 0.500 0.496
Se 0.100 0.000 0.331
Se 0.133 0.500 0.825
Se 0.602 0.000 0.988
Se 0.614 0.500 0.529

Most intense lines, 5 to 70 degrees two-theta, low angle first:
| two_theta | I/Imax |
| --- | --- |
| 23.7 | 50 |
| 23.9 | 100 |
| 25.3 | 84 |
| 27.1 | 74 |
| 35.0 | 26 |
| 41.8 | 84 |
| 42.2 | 43 |
| 45.6 | 71 |
| 45.7 | 36 |
| 49.5 | 25 |

***

This entry pairs a crystal structure of Rb2Ga2Ge3O10 with its simulated powder diffraction line list. Radiation: Cu Kα, 1.54184 Å. Structure: a DFT-relaxed cell (GGA-PBE, the Materials Project).
Peak positions follow from Bragg's law for the DFT cell and can differ from measured ones.

Crystal structure
a = 17.820 Å, b = 6.755 Å, c = 12.860 Å
α = 90.00°, β = 133.27°, γ = 90.00°
Space group C2 (No. 5)
Unique sites:
Rb 0.134 0.000 0.378
Rb 0.238 0.247 0.869
Ga 0.085 0.504 0.463
Ga 0.133 0.251 0.065
Ge 0.000 0.123 0.500
Ge 0.000 0.867 0.000
Ge 0.057 0.493 0.193
Ge 0.126 0.745 0.702
O 0.004 0.731 0.883
O 0.029 0.295 0.869
O 0.055 0.546 0.684
O 0.055 0.973 0.653
O 0.102 0.255 0.539
O 0.115 0.005 0.111
O 0.134 0.468 0.154
O 0.140 0.508 0.381
O 0.155 0.706 0.596
O 0.241 0.761 0.884

Most intense lines, 5 to 70 degrees two-theta, low angle first:
| two_theta | I/Imax |
| --- | --- |
| 22.0 | 46 |
| 27.7 | 100 |
| 28.1 | 70 |
| 28.3 | 77 |
| 28.7 | 54 |
| 29.9 | 62 |
| 31.1 | 65 |
| 31.3 | 61 |
| 31.7 | 58 |
| 31.9 | 53 |

***

This entry pairs a crystal structure of HoGa4Ni with its simulated powder diffraction line list. Radiation: Cu Kα, 1.54184 Å. Structure: a DFT-relaxed cell (GGA-PBE, the Materials Project).
Peak positions follow from Bragg's law for the DFT cell and can differ from measured ones.

Crystal structure
a = 4.087 Å, b = 15.236 Å, c = 6.617 Å
α = 90.00°, β = 90.00°, γ = 90.00°
Space group Cmcm (No. 63)
Unique sites:
Ho 0.000 0.120 0.250
Ga 0.000 0.070 0.750
Ga 0.000 0.315 0.051
Ga 0.000 0.500 0.000
Ni 0.000 0.225 0.750

Most intense lines, 5 to 70 degrees two-theta, low angle first:
| two_theta | I/Imax |
| --- | --- |
| 31.2 | 13 |
| 35.4 | 100 |
| 36.0 | 17 |
| 36.8 | 50 |
| 38.0 | 32 |
| 39.3 | 54 |
| 44.3 | 36 |
| 45.0 | 22 |
| 59.7 | 17 |
| 65.0 | 14 |

***

This entry pairs a crystal structure of Ga3As with its simulated powder diffraction line list. Radiation: Cu Kα, 1.54184 Å. Structure: a DFT-relaxed cell (GGA-PBE, the Materials Project).
Peak positions follow from Bragg's law for the DFT cell and can differ from measured ones.

Crystal structure
a = 4.310 Å, b = 4.310 Å, c = 4.310 Å
α = 90.00°, β = 90.00°, γ = 90.00°
Space group Pm-3m (No. 221)
Unique sites:
Ga 0.000 0.000 0.500
As 0.500 0.500 0.500

Most intense lines, 5 to 70 degrees two-theta, low angle first:
| two_theta | I/Imax |
| --- | --- |
| 36.1 | 100 |
| 41.9 | 49 |
| 60.8 | 32 |

***

This entry pairs a crystal structure of Cr2CuS4 with its simulated powder diffraction line list. Radiation: Cu Kα, 1.54184 Å. Structure: a DFT-relaxed cell (GGA-PBE, the Materials Project).
Peak positions follow from Bragg's law for the DFT cell and can differ from measured ones.

Crystal structure
a = 12.526 Å, b = 3.344 Å, c = 5.667 Å
α = 90.00°, β = 115.87°, γ = 90.00°
Space group C2/m (No. 12)
Unique sites:
Cr 0.243 0.000 0.189
Cu 0.000 0.500 0.500
S 0.116 0.500 0.959
S 0.147 0.000 0.485

Most intense lines, 5 to 70 degrees two-theta, low angle first:
| two_theta | I/Imax |
| --- | --- |
| 15.7 | 38 |
| 17.6 | 72 |
| 31.1 | 49 |
| 34.9 | 62 |
| 35.2 | 44 |
| 44.8 | 100 |
| 45.2 | 80 |
| 45.8 | 42 |
| 54.9 | 41 |
| 55.9 | 53 |

***

This entry pairs a crystal structure of AcH3 with its simulated powder diffraction line list. Radiation: Cu Kα, 1.54184 Å. Structure: a DFT-relaxed cell (GGA-PBE, the Materials Project).
Peak positions follow from Bragg's law for the DFT cell and can differ from measured ones.

Crystal structure
a = 5.806 Å, b = 5.806 Å, c = 5.806 Å
α = 90.00°, β = 90.00°, γ = 90.00°
Space group Fm-3m (No. 225)
Unique sites:
Ac 0.000 0.000 0.000
H 0.000 0.000 0.500
H 0.250 0.250 0.250

Most intense lines, 5 to 70 degrees two-theta, low angle first:
| two_theta | I/Imax |
| --- | --- |
| 26.6 | 100 |
| 30.8 | 52 |
| 44.1 | 42 |
| 52.3 | 49 |
| 54.8 | 14 |
| 64.2 | 7 |